1.
For Sr3Th3ReN8, a cell relaxed with PBE gives the theoretical powder X-ray diffraction pattern in this record (a wavelength of 1.5418 Å).
Peak positions follow from Bragg's law for the DFT cell and can differ from measured ones.

Largest 10 diffraction maxima, by angle, 15° ≤ 2θ ≤ 90°:
two_theta, I (rel.)
29.5, 35
29.6, 38
30.7, 100
35.3, 99
50.0, 35
51.5, 33
53.8, 16
59.2, 18
60.5, 38
63.9, 17

Structural model:
```
Sr3Th3ReN8
1.0
3.5511 2.0502 6.0431
-3.5511 2.0502 6.0431
0.0000 -4.1004 6.0431
Sr Th Re N
3 3 1 8
Direct
0.0000 0.5000 0.5000
0.5000 0.0000 0.5000
0.5000 0.5000 0.0000
0.0000 0.0000 0.5000
0.0000 0.5000 0.0000
0.5000 0.0000 0.0000
0.5000 0.5000 0.5000
0.2402 0.2402 0.2402
0.2707 0.7071 0.7071
0.2929 0.2929 0.7293
0.2929 0.7293 0.2929
0.7071 0.2707 0.7071
0.7071 0.7071 0.2707
0.7293 0.2929 0.2929
0.7598 0.7598 0.7598
```

***

2.
For Sr2PrNbN4, a cell relaxed with PBE gives the theoretical powder X-ray diffraction pattern in this record (a wavelength of 1.5418 Å).
Peak positions follow from Bragg's law for the DFT cell and can differ from measured ones.

Largest 10 diffraction maxima, by angle, 15° ≤ 2θ ≤ 90°:
two_theta, I (rel.)
30.5, 95
31.2, 88
35.5, 50
35.9, 100
50.7, 17
51.4, 65
52.6, 16
60.8, 45
62.0, 27
63.5, 16

Structural model:
```
Sr2PrNbN4
1.0
-3.4798 3.5980 5.0509
3.4798 -3.5980 5.0509
3.4798 3.5980 -5.0509
Sr Pr Nb N
4 2 2 8
Direct
0.0000 0.0000 0.0000
0.5000 0.0000 0.0000
0.5000 0.0000 0.5000
0.5000 0.5000 0.5000
0.0000 0.5000 0.5000
0.5000 0.5000 0.0000
0.0000 0.0000 0.5000
0.0000 0.5000 0.0000
0.2073 0.7475 0.4598
0.2121 0.2215 0.5093
0.2123 0.2525 0.9598
0.2121 0.7028 0.9907
0.7879 0.2972 0.0093
0.7877 0.7475 0.0402
0.7879 0.7785 0.4907
0.7927 0.2525 0.5402
```